[1]
Co3Rh2: simulated powder diffractogram (λ = 1.5418 Å (Cu Kα)), based on the PBE geometry in Alexandria.
Lines closer than 0.1° are merged.

Structure:
a b c (Å): 8.2093 3.6735 5.7852
angles (deg): 90.00 134.26 90.00
Space group C2/m (No. 12)
Asymmetric unit:
Co  0.0000  0.0000  0.0000 [2 per cell]
Co  0.2009  0.0000  0.5934 [4 per cell]
Rh  0.0953  0.5000  0.7986 [4 per cell]

Top 10 peaks for 2θ = 10–90°, by angle:
- 2θ = 42.51°, rel. 1000
- 2θ = 48.93°, rel. 163
- 2θ = 49.63°, rel. 158
- 2θ = 49.91°, rel. 152
- 2θ = 72.26°, rel. 96
- 2θ = 73.04°, rel. 92
- 2θ = 87.00°, rel. 58
- 2θ = 87.13°, rel. 58
- 2θ = 88.14°, rel. 113
- 2θ = 88.50°, rel. 58

[2]
CoRh: simulated powder diffractogram (λ = 1.5418 Å (Cu Kα)), based on the PBE geometry in Alexandria.
Lines closer than 0.1° are merged.

Structure:
a b c (Å): 8.7160 2.6585 7.2617
angles (deg): 90.00 114.59 90.00
Space group C2/m (No. 12)
Asymmetric unit:
Co  0.0000  0.0000  0.0000 [2 per cell]
Co  0.1683  0.5000  0.8504 [4 per cell]
Rh  0.0000  0.0000  0.5000 [2 per cell]
Rh  0.1652  0.5000  0.3193 [4 per cell]

Top 10 peaks for 2θ = 10–90°, by angle:
- 2θ = 13.41°, rel. 120
- 2θ = 42.13°, rel. 1000
- 2θ = 42.31°, rel. 987
- 2θ = 48.58°, rel. 666
- 2θ = 50.26°, rel. 275
- 2θ = 71.41°, rel. 120
- 2θ = 72.49°, rel. 352
- 2θ = 86.17°, rel. 235
- 2θ = 86.53°, rel. 232
- 2θ = 88.87°, rel. 137

[3]
CoRh: simulated powder diffractogram (λ = 1.5418 Å (Cu Kα)), based on the PBE geometry in Alexandria.
Lines closer than 0.1° are merged.

Structure:
a b c (Å): 2.6485 4.0262 5.0006
angles (deg): 90.00 105.21 90.00
Space group P2_1/m (No. 11)
Asymmetric unit:
Co  0.0613  0.2500  0.1266 [2 per cell]
Rh  0.3293  0.2500  0.6569 [2 per cell]

Top 10 peaks for 2θ = 10–90°, by angle:
- 2θ = 28.88°, rel. 193
- 2θ = 41.89°, rel. 1000
- 2θ = 43.74°, rel. 813
- 2θ = 44.24°, rel. 258
- 2θ = 44.36°, rel. 250
- 2θ = 45.03°, rel. 413
- 2θ = 65.01°, rel. 312
- 2θ = 80.92°, rel. 137
- 2θ = 82.19°, rel. 119
- 2θ = 88.34°, rel. 112

[4]
CoRuRh3: simulated powder diffractogram (λ = 1.5418 Å (Cu Kα)), based on the PBE geometry in Alexandria.
Lines closer than 0.1° are merged.

Structure:
a b c (Å): 8.9997 2.6444 6.3405
angles (deg): 90.00 90.00 90.00
Space group Pmma (No. 51)
Asymmetric unit:
Co  0.2500  0.0000  0.2379 [2 per cell]
Ru  0.2500  0.5000  0.5831 [2 per cell]
Rh  0.0000  0.0000  0.5000 [2 per cell]
Rh  0.1084  0.0000  0.8883 [4 per cell]

Top 10 peaks for 2θ = 10–90°, by angle:
- 2θ = 17.11°, rel. 523
- 2θ = 33.90°, rel. 638
- 2θ = 39.53°, rel. 395
- 2θ = 41.44°, rel. 767
- 2θ = 42.12°, rel. 502
- 2θ = 42.64°, rel. 1000
- 2θ = 44.01°, rel. 615
- 2θ = 45.81°, rel. 632
- 2θ = 48.06°, rel. 673
- 2θ = 49.23°, rel. 580

[5]
CoRuRh2: simulated powder diffractogram (λ = 1.5418 Å (Cu Kα)), based on the PBE geometry in Alexandria.
Lines closer than 0.1° are merged.

Structure:
a b c (Å): 2.6820 3.7431 5.3241
angles (deg): 90.00 90.00 90.00
Space group Pmm2 (No. 25)
Asymmetric unit:
Co  0.0000  0.0000  0.0000 [1 per cell]
Ru  0.5000  0.5000  0.7599 [1 per cell]
Rh  0.0000  0.0000  0.5102 [1 per cell]
Rh  0.5000  0.5000  0.2402 [1 per cell]

Top 10 peaks for 2θ = 10–90°, by angle:
- 2θ = 41.42°, rel. 1000
- 2θ = 41.63°, rel. 973
- 2θ = 48.16°, rel. 632
- 2θ = 48.65°, rel. 310
- 2θ = 70.18°, rel. 100
- 2θ = 70.86°, rel. 475
- 2θ = 85.04°, rel. 234
- 2θ = 85.47°, rel. 223
- 2θ = 85.92°, rel. 116
- 2θ = 86.06°, rel. 114

[6]
CoRu2Rh6: simulated powder diffractogram (λ = 1.5418 Å (Cu Kα)), based on the PBE geometry in Alexandria.
Lines closer than 0.1° are merged.

Structure:
a b c (Å): 4.6985 13.4853 4.6299
angles (deg): 90.00 120.01 90.00
Space group C2/m (No. 12)
Asymmetric unit:
Co  0.0000  0.0000  0.0000 [2 per cell]
Ru  0.0000  0.1710  0.5000 [4 per cell]
Rh  0.1720  0.3356  0.8406 [8 per cell]
Rh  0.1860  0.5000  0.3479 [4 per cell]

Top 10 peaks for 2θ = 10–90°, by angle:
- 2θ = 39.50°, rel. 579
- 2θ = 40.12°, rel. 659
- 2θ = 40.67°, rel. 526
- 2θ = 43.74°, rel. 1000
- 2θ = 44.00°, rel. 154
- 2θ = 47.15°, rel. 343
- 2θ = 52.06°, rel. 252
- 2θ = 62.75°, rel. 143
- 2θ = 73.42°, rel. 210
- 2θ = 75.41°, rel. 187

[7]
CoRuRh6: simulated powder diffractogram (λ = 1.5418 Å (Cu Kα)), based on the PBE geometry in Alexandria.
Lines closer than 0.1° are merged.

Structure:
a b c (Å): 5.3826 5.3826 3.8137
angles (deg): 90.00 90.00 90.00
Space group P4/mmm (No. 123)
Asymmetric unit:
Co  0.0000  0.0000  0.0000 [1 per cell]
Ru  0.5000  0.5000  0.0000 [1 per cell]
Rh  0.0000  0.5000  0.0000 [2 per cell]
Rh  0.2489  0.2489  0.5000 [4 per cell]

Top 10 peaks for 2θ = 10–90°, by angle:
- 2θ = 16.47°, rel. 11
- 2θ = 23.36°, rel. 11
- 2θ = 33.27°, rel. 9
- 2θ = 41.05°, rel. 1000
- 2θ = 47.69°, rel. 161
- 2θ = 47.80°, rel. 319
- 2θ = 69.85°, rel. 298
- 2θ = 84.24°, rel. 119
- 2θ = 84.39°, rel. 238
- 2θ = 89.05°, rel. 106

[8]
TaCoRuRh: simulated powder diffractogram (λ = 1.5418 Å (Cu Kα)), based on the PBE geometry in Alexandria.
Lines closer than 0.1° are merged.

Structure:
a b c (Å): 3.7756 3.8301 3.8651
angles (deg): 90.00 90.00 90.00
Space group Pmmm (No. 47)
Asymmetric unit:
Ta  0.0000  0.0000  0.0000 [1 per cell]
Co  0.0000  0.5000  0.5000 [1 per cell]
Ru  0.5000  0.5000  0.0000 [1 per cell]
Rh  0.5000  0.0000  0.5000 [1 per cell]

Top 10 peaks for 2θ = 10–90°, by angle:
- 2θ = 40.89°, rel. 1000
- 2θ = 47.02°, rel. 166
- 2θ = 47.48°, rel. 162
- 2θ = 48.20°, rel. 155
- 2θ = 69.05°, rel. 103
- 2θ = 69.62°, rel. 101
- 2θ = 83.14°, rel. 124
- 2θ = 83.81°, rel. 122
- 2θ = 84.90°, rel. 119
- 2θ = 88.62°, rel. 109

[9]
CoRh2S6: simulated powder diffractogram (λ = 1.5418 Å (Cu Kα)), based on the PBE geometry in Alexandria.
Lines closer than 0.1° are merged.

Structure:
a b c (Å): 5.3131 5.3131 10.9288
angles (deg): 90.00 90.00 90.00
Space group P4_2/mnm (No. 136)
Asymmetric unit:
Co  0.0000  0.0000  0.0000 [2 per cell]
Rh  0.0000  0.0000  0.3340 [4 per cell]
S  0.1881  0.1881  0.1617 [8 per cell]
S  0.2018  0.2018  0.5000 [4 per cell]

Top 10 peaks for 2θ = 10–90°, by angle:
- 2θ = 23.68°, rel. 1000
- 2θ = 29.74°, rel. 507
- 2θ = 34.29°, rel. 251
- 2θ = 45.58°, rel. 776
- 2θ = 48.46°, rel. 223
- 2θ = 50.08°, rel. 147
- 2θ = 56.12°, rel. 173
- 2θ = 57.90°, rel. 339
- 2θ = 72.25°, rel. 128
- 2θ = 78.78°, rel. 103

[10]
CoRhS3: simulated powder diffractogram (λ = 1.5418 Å (Cu Kα)), based on the PBE geometry in Alexandria.
Lines closer than 0.1° are merged.

Structure:
a b c (Å): 11.0005 9.8856 6.2483
angles (deg): 90.00 97.20 90.00
Space group C2/c (No. 15)
Asymmetric unit:
Co  0.2397  0.0722  0.0335 [8 per cell]
Rh  0.0000  0.2403  0.7500 [4 per cell]
Rh  0.0000  0.3984  0.2500 [4 per cell]
S  0.1191  0.4290  0.6079 [8 per cell]
S  0.1244  0.0450  0.7285 [8 per cell]
S  0.1331  0.2648  0.0742 [8 per cell]

Top 10 peaks for 2θ = 10–90°, by angle:
- 2θ = 12.08°, rel. 425
- 2θ = 17.95°, rel. 570
- 2θ = 24.30°, rel. 301
- 2θ = 27.21°, rel. 328
- 2θ = 31.35°, rel. 241
- 2θ = 35.04°, rel. 639
- 2θ = 38.46°, rel. 1000
- 2θ = 48.77°, rel. 274
- 2θ = 52.02°, rel. 249
- 2θ = 53.98°, rel. 440

[11]
Co2RhS: simulated powder diffractogram (λ = 1.5418 Å (Cu Kα)), based on the PBE geometry in Alexandria.
Lines closer than 0.1° are merged.

Structure:
a b c (Å): 4.6046 4.6046 11.8689
angles (deg): 90.00 90.00 90.00
Space group I-42d (No. 122)
Asymmetric unit:
Co  0.1946  0.2500  0.1250 [8 per cell]
Rh  0.0000  0.0000  0.5000 [4 per cell]
S  0.0000  0.0000  0.0000 [4 per cell]

Top 10 peaks for 2θ = 10–90°, by angle:
- 2θ = 20.69°, rel. 70
- 2θ = 29.77°, rel. 180
- 2θ = 31.34°, rel. 1000
- 2θ = 44.66°, rel. 154
- 2θ = 50.15°, rel. 471
- 2θ = 54.26°, rel. 196
- 2θ = 56.53°, rel. 143
- 2θ = 66.07°, rel. 175
- 2θ = 82.21°, rel. 94
- 2θ = 89.34°, rel. 77

[12]
Co2SbRh: simulated powder diffractogram (λ = 1.5418 Å (Cu Kα)), based on the PBE geometry in Alexandria.
Lines closer than 0.1° are merged.

Structure:
a b c (Å): 3.8928 3.8928 7.2831
angles (deg): 90.00 90.00 90.00
Space group I4/mmm (No. 139)
Asymmetric unit:
Co  0.0000  0.5000  0.2500 [4 per cell]
Sb  0.0000  0.0000  0.0000 [2 per cell]
Rh  0.0000  0.0000  0.5000 [2 per cell]

Top 10 peaks for 2θ = 10–90°, by angle:
- 2θ = 24.44°, rel. 84
- 2θ = 32.53°, rel. 81
- 2θ = 41.11°, rel. 1000
- 2θ = 46.67°, rel. 343
- 2θ = 50.10°, rel. 138
- 2θ = 68.13°, rel. 105
- 2θ = 70.87°, rel. 187
- 2θ = 82.76°, rel. 243
- 2θ = 87.91°, rel. 106
- 2θ = 89.20°, rel. 103